# 1
Starting from a structure optimized by DFT (GGA-PBE), the powder diffraction line list of Ac4La3YS8 was simulated for λ = 1.5418 Å (Cu Kα).
Peak positions follow from Bragg's law for the DFT cell and can differ from measured ones.

Structure:
```
Ac4La3YS8
1.0
4.197 2.423 6.886
-4.197 2.423 6.886
0.000 -4.846 6.886
Ac La Y S
4 3 1 8
Cartesian
0.000 0.000 0.000
-2.098 -1.212 6.886
-2.098 1.212 13.773
0.000 2.423 6.886
-4.197 0.000 10.330
-2.098 1.212 3.443
2.098 1.212 3.443
0.000 0.000 10.330
0.000 0.000 5.093
-2.037 -1.176 11.931
0.000 -2.352 8.728
-2.037 1.176 8.728
2.037 -1.176 11.931
0.000 2.352 11.931
2.037 1.176 8.728
0.000 0.000 15.567
```

The 6 most intense peaks (10° ≤ 2θ ≤ 90°), by angle:
2θ 25.88, rel. 22; 2θ 25.99, rel. 65; 2θ 30.06, rel. 100; 2θ 42.96, rel. 37; 2θ 43.11, rel. 37; 2θ 50.99, rel. 34


# 2
Starting from a structure optimized by DFT (GGA-PBE), the powder diffraction line list of AcLaSb4 was simulated for λ = 1.5418 Å (Cu Kα).
Peak positions follow from Bragg's law for the DFT cell and can differ from measured ones.

Structure:
```
AcLaSb4
1.0
0.000 4.526 4.526
4.526 0.000 4.526
4.526 4.526 0.000
Ac La Sb
1 1 4
Cartesian
0.000 0.000 0.000
2.263 2.263 2.263
5.655 3.397 3.397
3.397 5.655 3.397
3.397 3.397 5.655
5.655 5.655 5.655
```

The 6 most intense peaks (10° ≤ 2θ ≤ 90°), by angle:
2θ 27.88, rel. 39; 2θ 32.82, rel. 100; 2θ 34.32, rel. 29; 2θ 52.53, rel. 35; 2θ 57.60, rel. 28; 2θ 81.72, rel. 22


# 3
Starting from a structure optimized by DFT (GGA-PBE), the powder diffraction line list of Ac3LaSb4 was simulated for λ = 1.5418 Å (Cu Kα).
Peak positions follow from Bragg's law for the DFT cell and can differ from measured ones.

Structure:
```
Ac3LaSb4
1.0
6.733 0.000 0.000
0.000 6.733 0.000
0.000 0.000 6.733
Ac La Sb
3 1 4
Cartesian
0.000 0.000 3.367
0.000 3.367 0.000
3.367 0.000 0.000
3.367 3.367 3.367
0.000 0.000 0.000
0.000 3.367 3.367
3.367 0.000 3.367
3.367 3.367 0.000
```

The 6 most intense peaks (10° ≤ 2θ ≤ 90°), by angle:
2θ 26.48, rel. 100; 2θ 37.79, rel. 79; 2θ 46.73, rel. 29; 2θ 61.60, rel. 38; 2θ 68.24, rel. 28; 2θ 86.78, rel. 19


# 4
Starting from a structure optimized by DFT (GGA-PBE), the powder diffraction line list of Ac2LaSb was simulated for λ = 1.5418 Å (Cu Kα).
Peak positions follow from Bragg's law for the DFT cell and can differ from measured ones.

Structure:
```
Ac2LaSb
1.0
5.216 0.000 0.000
0.000 5.216 0.000
0.000 0.000 5.151
Ac La Sb
2 1 1
Cartesian
0.000 2.608 0.000
2.608 0.000 0.000
0.000 0.000 2.576
2.608 2.608 2.576
```

The 6 most intense peaks (10° ≤ 2θ ≤ 90°), by angle:
2θ 29.79, rel. 100; 2θ 34.39, rel. 34; 2θ 34.83, rel. 17; 2θ 49.76, rel. 25; 2θ 58.79, rel. 30; 2θ 59.37, rel. 15


# 5
Starting from a structure optimized by DFT (GGA-PBE), the powder diffraction line list of AcLa5Sb4 was simulated for λ = 1.5418 Å (Cu Kα).
Peak positions follow from Bragg's law for the DFT cell and can differ from measured ones.

Structure:
```
AcLa5Sb4
1.0
9.758 0.000 0.000
0.000 11.457 0.000
0.000 0.000 7.545
Ac La Sb
2 10 8
Cartesian
2.439 2.864 1.269
7.318 8.593 6.276
0.030 0.517 5.531
0.030 5.212 5.531
2.439 8.593 6.176
4.849 0.517 5.531
4.849 5.212 5.531
4.909 6.246 2.014
4.909 10.941 2.014
7.318 2.864 1.369
9.728 6.246 2.014
9.728 10.941 2.014
0.025 8.593 4.154
2.439 5.819 0.019
2.439 11.367 0.019
4.854 8.593 4.154
4.904 2.864 3.391
7.318 0.090 7.526
7.318 5.638 7.526
9.733 2.864 3.391
```

The 6 most intense peaks (10° ≤ 2θ ≤ 90°), by angle:
2θ 21.69, rel. 63; 2θ 23.05, rel. 34; 2θ 26.15, rel. 53; 2θ 33.87, rel. 100; 2θ 36.84, rel. 32; 2θ 38.32, rel. 43


# 6
Starting from a structure optimized by DFT (GGA-PBE), the powder diffraction line list of Ac4La6Sc was simulated for λ = 1.5418 Å (Cu Kα).
Peak positions follow from Bragg's law for the DFT cell and can differ from measured ones.

Structure:
```
Ac4La6Sc
1.0
9.181 0.000 0.000
0.000 9.181 0.000
0.000 0.000 10.022
Ac La Sc
8 12 2
Cartesian
1.351 3.240 2.505
1.351 3.240 7.516
3.240 7.830 2.505
3.240 7.830 7.516
5.942 1.351 2.505
5.942 1.351 7.516
7.830 5.942 2.505
7.830 5.942 7.516
0.000 0.000 1.662
0.000 0.000 8.360
1.349 6.095 5.011
1.504 5.940 0.000
3.087 1.349 5.011
3.241 1.504 0.000
4.591 4.591 3.349
4.591 4.591 6.673
5.940 7.677 0.000
6.095 7.832 5.011
7.677 3.241 0.000
7.832 3.087 5.011
0.000 0.000 5.011
4.591 4.591 0.000
```

The 6 most intense peaks (10° ≤ 2θ ≤ 90°), by angle:
2θ 28.10, rel. 100; 2θ 30.80, rel. 41; 2θ 35.81, rel. 14; 2θ 56.16, rel. 12; 2θ 57.06, rel. 21; 2θ 59.77, rel. 12


# 7
Starting from a structure optimized by DFT (GGA-PBE), the powder diffraction line list of Ac5La8Sc was simulated for λ = 1.5418 Å (Cu Kα).
Peak positions follow from Bragg's law for the DFT cell and can differ from measured ones.

Structure:
```
Ac5La8Sc
1.0
6.425 -5.165 0.000
6.425 5.165 0.000
-6.200 0.000 8.310
Ac La Sc
5 8 1
Cartesian
0.000 0.000 0.000
0.438 1.969 6.238
-2.631 -1.316 6.053
6.212 1.969 2.072
9.281 -1.316 2.257
-2.753 1.799 7.716
-0.357 0.068 3.642
2.935 -0.045 2.477
9.404 1.799 0.595
0.906 -1.751 6.546
3.715 -0.045 5.834
5.745 -1.751 1.764
7.007 0.068 4.669
3.325 -3.043 4.155
```

The 6 most intense peaks (10° ≤ 2θ ≤ 90°), by angle:
2θ 27.37, rel. 100; 2θ 27.78, rel. 56; 2θ 28.88, rel. 44; 2θ 30.66, rel. 64; 2θ 31.22, rel. 72; 2θ 33.74, rel. 41


# 8
Starting from a structure optimized by DFT (GGA-PBE), the powder diffraction line list of Ac4LaSe5 was simulated for λ = 1.5418 Å (Cu Kα).
Peak positions follow from Bragg's law for the DFT cell and can differ from measured ones.

Structure:
```
Ac4LaSe5
1.0
-2.218 3.140 11.095
2.218 -3.140 11.095
2.218 3.140 -11.095
Ac La Se
4 1 5
Cartesian
0.000 0.000 2.206
0.000 0.000 6.701
0.000 0.000 15.489
0.000 0.000 19.984
0.000 0.000 11.095
2.218 0.000 0.000
2.218 0.000 4.451
2.218 0.000 8.950
0.000 3.140 2.145
0.000 3.140 6.644
```

The 6 most intense peaks (10° ≤ 2θ ≤ 90°), by angle:
2θ 24.57, rel. 36; 2θ 28.44, rel. 100; 2θ 40.66, rel. 77; 2θ 50.36, rel. 28; 2θ 66.64, rel. 36; 2θ 73.99, rel. 27


# 9
Starting from a structure optimized by DFT (GGA-PBE), the powder diffraction line list of AcLa6Se8 was simulated for λ = 1.5418 Å (Cu Kα).
Peak positions follow from Bragg's law for the DFT cell and can differ from measured ones.

Structure:
```
AcLa6Se8
1.0
0.000 6.110 6.110
6.110 0.000 6.110
6.110 6.110 0.000
Ac La Se
1 6 8
Cartesian
0.000 0.000 0.000
3.055 3.055 0.000
3.055 0.000 3.055
6.110 3.055 3.055
0.000 3.055 3.055
3.055 6.110 3.055
3.055 3.055 6.110
3.055 3.055 3.055
6.110 6.110 3.124
6.110 3.124 6.110
9.096 6.110 6.110
3.124 6.110 6.110
6.110 9.096 6.110
6.110 6.110 9.096
9.165 9.165 9.165
```

The 6 most intense peaks (10° ≤ 2θ ≤ 90°), by angle:
2θ 12.55, rel. 13; 2θ 29.23, rel. 100; 2θ 41.82, rel. 75; 2θ 51.84, rel. 27; 2θ 68.70, rel. 34; 2θ 76.36, rel. 25


# 10
Starting from a structure optimized by DFT (GGA-PBE), the powder diffraction line list of AcLa4Se6 was simulated for λ = 1.5418 Å (Cu Kα).
Peak positions follow from Bragg's law for the DFT cell and can differ from measured ones.

Structure:
```
AcLa4Se6
1.0
2.140 -7.106 0.000
2.140 7.106 0.000
0.000 0.000 21.715
Ac La Se
2 8 12
Cartesian
2.140 4.844 16.286
2.140 -4.844 5.429
2.140 5.810 2.751
2.140 5.810 8.106
2.140 1.984 0.855
2.140 1.984 10.003
2.140 -1.984 11.712
2.140 -1.984 20.860
2.140 -5.810 13.609
2.140 -5.810 18.964
0.000 0.000 0.000
0.000 0.000 10.857
2.140 4.482 5.429
2.140 3.303 12.862
2.140 3.303 19.710
2.140 0.705 3.621
2.140 0.705 7.237
2.140 -0.705 14.478
2.140 -0.705 18.094
2.140 -3.303 2.005
2.140 -3.303 8.853
2.140 -4.482 16.286
```

The 6 most intense peaks (10° ≤ 2θ ≤ 90°), by angle:
2θ 24.01, rel. 46; 2θ 27.66, rel. 35; 2θ 29.30, rel. 100; 2θ 30.74, rel. 48; 2θ 39.83, rel. 38; 2θ 41.60, rel. 64